Na2Nb2Si3O12: theoretical XRD peak list (Cu Ka), based on a cell relaxed with PBE.
No peak broadening, texture or thermal motion is included.

Most intense lines, 5 to 70 degrees two-theta, by intensity:
| d_spacing | Position (°2θ) | I (rel.) |
| --- | --- | --- |
| 4.511 | 19.7 | 100 |
| 4.581 | 19.4 | 85 |
| 2.892 | 30.9 | 79 |
| 3.871 | 23.0 | 44 |
| 3.209 | 27.8 | 34 |
| 2.602 | 34.5 | 27 |
| 6.438 | 13.8 | 25 |
| 1.933 | 47.0 | 20 |
| 2.618 | 34.2 | 18 |
| 2.039 | 44.4 | 15 |
| 2.610 | 34.4 | 15 |
| 3.224 | 27.7 | 14 |

Crystal structure
```
data_Na2Nb2Si3O12
_cell_length_a 15.662
_cell_length_b 9.003
_cell_length_c 9.153
_cell_angle_alpha 90.00
_cell_angle_beta 124.57
_cell_angle_gamma 90.00
_symmetry_space_group_name_H-M 'C 1 2/c 1'
_symmetry_Int_Tables_number 15
loop_
_symmetry_equiv_pos_as_xyz
'x,y,z'
'-x,-y,-z'
'-x,y,-z+1/2'
'x,-y,z+1/2'
'x+1/2,y+1/2,z'
'-x+1/2,-y+1/2,-z'
'-x+1/2,y+1/2,-z+1/2'
'x+1/2,-y+1/2,z+1/2'
loop_
_atom_site_label
_atom_site_type_symbol
_atom_site_fract_x
_atom_site_fract_y
_atom_site_fract_z
Na1 Na 0.000 0.116 0.250
Na2 Na 0.250 0.250 0.500
Nb1 Nb 0.108 0.254 0.066
Si1 Si 0.000 0.461 0.250
Si2 Si 0.143 0.108 0.745
O1 O 0.039 0.177 0.565
O2 O 0.069 0.432 0.925
O3 O 0.080 0.353 0.237
O4 O 0.136 0.140 0.916
O5 O 0.145 0.073 0.233
O6 O 0.245 0.183 0.769
```